Record 1
Theoretical powder diffractogram of LaY7Ho4 for a wavelength of 1.5418 Å, from a DFT-relaxed cell (PBE, Alexandria).

Cell lengths 6.734, 6.734, 12.649 Å; angles 114.32, 114.32, 51.92 degrees
Sites, in units of the cell vectors:
La 0.000 0.000 0.000
Y 0.054 0.054 0.338
Y 0.210 0.210 0.922
Y 0.364 0.364 0.493
Y 0.500 0.500 0.000
Y 0.636 0.636 0.507
Y 0.790 0.790 0.078
Y 0.946 0.946 0.662
Ho 0.257 0.257 0.687
Ho 0.370 0.370 0.226
Ho 0.630 0.630 0.774
Ho 0.743 0.743 0.313

Principal peaks in the range 2θ = 10–80°, in order of falling intensity:
2θ 30.3, I 100.0; 2θ 32.7, I 67.3; 2θ 33.2, I 61.8; 2θ 30.8, I 46.1; 2θ 33.8, I 45.1; 2θ 43.7, I 34.7; 2θ 32.4, I 32.5; 2θ 27.0, I 24.2; 2θ 29.1, I 20.6; 2θ 55.7, I 19.3

Record 2
Theoretical powder diffractogram of Tm6Se5 for a wavelength of 1.5418 Å, from a DFT-relaxed cell (PBE, Alexandria).

Cell lengths 6.873, 6.873, 6.875 Å; angles 99.83, 99.83, 119.78 degrees
Sites, in units of the cell vectors:
Tm 0.075 0.397 0.237
Tm 0.237 0.237 0.748
Tm 0.397 0.075 0.237
Tm 0.603 0.925 0.763
Tm 0.763 0.763 0.252
Tm 0.925 0.603 0.763
Se 0.177 0.823 0.500
Se 0.337 0.663 0.000
Se 0.500 0.500 0.500
Se 0.663 0.337 0.000
Se 0.823 0.177 0.500

Principal peaks in the range 2θ = 10–80°, in order of falling intensity:
2θ 32.0, I 100.0; 2θ 45.7, I 55.4; 2θ 27.5, I 54.4; 2θ 31.7, I 52.0; 2θ 45.6, I 36.9; 2θ 56.8, I 28.3; 2θ 45.9, I 17.7; 2θ 75.9, I 15.6; 2θ 54.3, I 12.3; 2θ 66.8, I 11.1

Record 3
Theoretical powder diffractogram of Ca2CI for a wavelength of 1.5418 Å, from a DFT-relaxed cell (PBE, Alexandria).

Cell lengths 9.036, 9.036, 6.695 Å; angles 95.26, 95.26, 24.54 degrees
Sites, in units of the cell vectors:
Ca 0.000 0.000 0.000
Ca 0.569 0.569 0.489
Ca 0.811 0.811 0.921
Ca 0.897 0.897 0.424
C 0.394 0.394 0.117
C 0.457 0.457 0.243
I 0.245 0.245 0.560
I 0.646 0.646 0.049

Principal peaks in the range 2θ = 10–80°, in order of falling intensity:
2θ 34.6, I 100.0; 2θ 27.8, I 97.3; 2θ 10.1, I 84.8; 2θ 26.8, I 80.5; 2θ 27.5, I 79.0; 2θ 32.2, I 67.5; 2θ 31.5, I 63.3; 2θ 37.9, I 51.5; 2θ 17.4, I 50.8; 2θ 30.3, I 49.0

Record 4
Theoretical powder diffractogram of Ho2CuSi4O12 for a wavelength of 1.5418 Å, from a DFT-relaxed cell (PBE, Alexandria).

Cell lengths 4.808, 7.108, 7.934 Å; angles 64.66, 85.27, 76.29 degrees
Sites, in units of the cell vectors:
Ho 0.023 0.276 0.444
Ho 0.977 0.724 0.556
Cu 0.000 0.500 0.000
Si 0.425 0.892 0.796
Si 0.444 0.684 0.212
Si 0.556 0.316 0.788
Si 0.575 0.108 0.204
O 0.209 0.930 0.631
O 0.223 0.572 0.372
O 0.264 0.483 0.798
O 0.272 0.273 0.196
O 0.284 0.812 0.004
O 0.469 0.140 0.728
O 0.531 0.860 0.272
O 0.716 0.188 0.996
O 0.728 0.727 0.804
O 0.736 0.517 0.202
O 0.777 0.428 0.628
O 0.791 0.070 0.369

Principal peaks in the range 2θ = 10–80°, in order of falling intensity:
2θ 28.3, I 100.0; 2θ 12.3, I 84.3; 2θ 31.8, I 54.6; 2θ 19.0, I 48.1; 2θ 22.5, I 45.3; 2θ 23.0, I 41.7; 2θ 26.2, I 41.6; 2θ 31.1, I 41.2; 2θ 35.8, I 40.6; 2θ 38.0, I 26.2

Record 5
Theoretical powder diffractogram of PuTl6Br8 for a wavelength of 1.5418 Å, from a DFT-relaxed cell (PBE, Alexandria).

Cell lengths 9.937, 9.937, 6.479 Å; angles 90.00, 90.00, 120.00 degrees
Sites, in units of the cell vectors:
Pu 0.000 0.000 0.000
Tl 0.000 0.383 0.768
Tl 0.000 0.617 0.232
Tl 0.383 0.000 0.768
Tl 0.383 0.383 0.232
Tl 0.617 0.000 0.232
Tl 0.617 0.617 0.768
Br 0.000 0.253 0.245
Br 0.000 0.747 0.755
Br 0.253 0.000 0.245
Br 0.253 0.253 0.755
Br 0.333 0.667 0.000
Br 0.667 0.333 0.000
Br 0.747 0.000 0.755
Br 0.747 0.747 0.245

Principal peaks in the range 2θ = 10–80°, in order of falling intensity:
2θ 30.8, I 100.0; 2θ 33.0, I 84.5; 2θ 31.2, I 82.0; 2θ 22.6, I 78.7; 2θ 40.3, I 37.0; 2θ 46.0, I 30.7; 2θ 27.5, I 28.6; 2θ 13.7, I 27.3; 2θ 38.8, I 26.1; 2θ 50.7, I 23.7

Record 6
Theoretical powder diffractogram of RbLaTe2 for a wavelength of 1.5418 Å, from a DFT-relaxed cell (PBE, Alexandria).

Cell lengths 12.029, 4.623, 16.607 Å; angles 90.00, 133.62, 90.00 degrees
Sites, in units of the cell vectors:
Rb 0.075 0.249 0.413
Rb 0.075 0.251 0.913
Rb 0.925 0.749 0.087
Rb 0.925 0.751 0.587
La 0.432 0.249 0.841
La 0.432 0.251 0.341
La 0.568 0.749 0.659
La 0.568 0.751 0.159
Te 0.293 0.749 0.652
Te 0.293 0.749 0.891
Te 0.293 0.751 0.152
Te 0.293 0.751 0.391
Te 0.707 0.249 0.609
Te 0.707 0.249 0.848
Te 0.707 0.251 0.109
Te 0.707 0.251 0.348

Principal peaks in the range 2θ = 10–80°, in order of falling intensity:
2θ 30.7, I 100.0; 2θ 24.3, I 60.8; 2θ 29.7, I 57.6; 2θ 36.6, I 40.1; 2θ 10.2, I 36.0; 2θ 23.1, I 29.7; 2θ 49.8, I 27.1; 2θ 39.0, I 24.9; 2θ 21.8, I 20.9; 2θ 39.3, I 20.4

Record 7
Theoretical powder diffractogram of Ac2HoIrO8 for a wavelength of 1.5418 Å, from a DFT-relaxed cell (PBE, Alexandria).

Cell lengths 4.594, 7.231, 5.547 Å; angles 90.00, 96.56, 90.00 degrees
Sites, in units of the cell vectors:
Ac 0.000 0.243 0.000
Ac 0.000 0.757 0.000
Ho 0.500 0.500 0.500
Ir 0.500 0.000 0.500
O 0.094 0.500 0.253
O 0.123 0.000 0.344
O 0.422 0.211 0.720
O 0.422 0.789 0.720
O 0.578 0.211 0.280
O 0.578 0.789 0.280
O 0.877 0.000 0.656
O 0.906 0.500 0.747

Principal peaks in the range 2θ = 10–80°, in order of falling intensity:
2θ 29.5, I 100.0; 2θ 23.9, I 84.5; 2θ 31.6, I 61.5; 2θ 26.7, I 61.3; 2θ 44.2, I 42.9; 2θ 47.6, I 30.1; 2θ 32.5, I 28.4; 2θ 39.5, I 25.7; 2θ 48.5, I 24.6; 2θ 51.7, I 21.4

Record 8
Theoretical powder diffractogram of Ni3Pt2 for a wavelength of 1.5418 Å, from a DFT-relaxed cell (PBE, Alexandria).

Cell lengths 10.629, 10.629, 10.629 Å; angles 14.52, 14.52, 14.52 degrees
Sites, in units of the cell vectors:
Ni 0.000 0.000 0.000
Ni 0.197 0.197 0.197
Ni 0.803 0.803 0.803
Pt 0.401 0.401 0.401
Pt 0.599 0.599 0.599

Principal peaks in the range 2θ = 10–80°, in order of falling intensity:
2θ 41.4, I 100.0; 2θ 48.6, I 61.8; 2θ 16.9, I 36.4; 2θ 43.0, I 29.1; 2θ 70.0, I 20.6; 2θ 72.4, I 17.8; 2θ 25.4, I 15.4; 2θ 38.8, I 15.0; 2θ 40.4, I 13.8; 2θ 50.5, I 7.0

Record 9
Theoretical powder diffractogram of Ba2TlCd3Ge4 for a wavelength of 1.5418 Å, from a DFT-relaxed cell (PBE, Alexandria).

Cell lengths 4.872, 4.872, 11.340 Å; angles 90.00, 90.00, 90.00 degrees
Sites, in units of the cell vectors:
Ba 0.000 0.500 0.240
Ba 0.500 0.000 0.760
Tl 0.000 0.000 0.500
Cd 0.000 0.500 0.877
Cd 0.500 0.000 0.123
Cd 0.500 0.500 0.500
Ge 0.000 0.000 0.000
Ge 0.000 0.500 0.638
Ge 0.500 0.000 0.362
Ge 0.500 0.500 0.000

Principal peaks in the range 2θ = 10–80°, in order of falling intensity:
2θ 30.4, I 100.0; 2θ 36.9, I 65.7; 2θ 29.9, I 49.2; 2θ 48.2, I 26.7; 2θ 41.2, I 26.6; 2θ 62.5, I 25.2; 2θ 53.2, I 22.6; 2θ 44.0, I 19.2; 2θ 58.8, I 16.1; 2θ 27.0, I 14.8

Record 10
Theoretical powder diffractogram of BaBiSb for a wavelength of 1.5418 Å, from a DFT-relaxed cell (PBE, Alexandria).

Cell lengths 9.984, 9.984, 4.523 Å; angles 90.00, 90.00, 150.49 degrees
Sites, in units of the cell vectors:
Ba 0.104 0.896 0.750
Ba 0.896 0.104 0.250
Bi 0.257 0.743 0.250
Bi 0.743 0.257 0.750
Sb 0.450 0.550 0.750
Sb 0.550 0.450 0.250

Principal peaks in the range 2θ = 10–80°, in order of falling intensity:
2θ 29.9, I 100.0; 2θ 35.3, I 22.1; 2θ 27.7, I 18.3; 2θ 60.0, I 14.0; 2θ 39.9, I 13.5; 2θ 54.3, I 11.0; 2θ 66.3, I 10.4; 2θ 45.5, I 9.7; 2θ 29.0, I 9.5; 2θ 62.0, I 7.8

Record 11
Theoretical powder diffractogram of Sb2Pd5S2 for a wavelength of 1.5418 Å, from a DFT-relaxed cell (PBE, Alexandria).

Cell lengths 6.487, 6.487, 7.483 Å; angles 120.78, 120.78, 41.64 degrees
Sites, in units of the cell vectors:
Sb 0.133 0.133 0.415
Sb 0.867 0.867 0.585
Pd 0.134 0.134 0.767
Pd 0.385 0.385 0.787
Pd 0.500 0.500 0.500
Pd 0.615 0.615 0.213
Pd 0.866 0.866 0.233
S 0.374 0.374 0.104
S 0.626 0.626 0.896

Principal peaks in the range 2θ = 10–80°, in order of falling intensity:
2θ 39.1, I 100.0; 2θ 43.8, I 90.7; 2θ 22.7, I 85.4; 2θ 41.3, I 71.7; 2θ 35.4, I 69.7; 2θ 41.5, I 63.4; 2θ 14.1, I 59.5; 2θ 30.9, I 53.7; 2θ 43.3, I 49.7; 2θ 53.7, I 48.7

Record 12
Theoretical powder diffractogram of TePN2 for a wavelength of 1.5418 Å, from a DFT-relaxed cell (PBE, Alexandria).

Cell lengths 5.276, 5.276, 5.276 Å; angles 119.96, 119.96, 90.07 degrees
Sites, in units of the cell vectors:
Te 0.375 0.625 0.750
Te 0.625 0.375 0.250
P 0.125 0.875 0.250
P 0.875 0.125 0.750
N 0.000 0.000 0.000
N 0.000 0.000 0.500
N 0.000 0.500 0.000
N 0.500 0.000 0.500

Principal peaks in the range 2θ = 10–80°, in order of falling intensity:
2θ 34.0, I 100.0; 2θ 60.8, I 35.9; 2θ 40.1, I 33.2; 2θ 20.6, I 23.6; 2θ 71.5, I 14.0; 2θ 48.8, I 12.6; 2θ 64.9, I 9.9; 2θ 53.5, I 7.1; 2θ 75.3, I 5.3; 2θ 41.9, I 1.0

Copy entry 4 word for word.
Theoretical powder diffractogram of Ho2CuSi4O12 for a wavelength of 1.5418 Å, from a DFT-relaxed cell (PBE, Alexandria).

Cell lengths 4.808, 7.108, 7.934 Å; angles 64.66, 85.27, 76.29 degrees
Sites, in units of the cell vectors:
Ho 0.023 0.276 0.444
Ho 0.977 0.724 0.556
Cu 0.000 0.500 0.000
Si 0.425 0.892 0.796
Si 0.444 0.684 0.212
Si 0.556 0.316 0.788
Si 0.575 0.108 0.204
O 0.209 0.930 0.631
O 0.223 0.572 0.372
O 0.264 0.483 0.798
O 0.272 0.273 0.196
O 0.284 0.812 0.004
O 0.469 0.140 0.728
O 0.531 0.860 0.272
O 0.716 0.188 0.996
O 0.728 0.727 0.804
O 0.736 0.517 0.202
O 0.777 0.428 0.628
O 0.791 0.070 0.369

Principal peaks in the range 2θ = 10–80°, in order of falling intensity:
2θ 28.3, I 100.0; 2θ 12.3, I 84.3; 2θ 31.8, I 54.6; 2θ 19.0, I 48.1; 2θ 22.5, I 45.3; 2θ 23.0, I 41.7; 2θ 26.2, I 41.6; 2θ 31.1, I 41.2; 2θ 35.8, I 40.6; 2θ 38.0, I 26.2